For Cs4Rb2Co2O5, a cell relaxed with GGA+U gives the simulated powder diffraction line list in this record (Cu Kα, 1.54184 Å).
Neutral-atom scattering factors, no anomalous dispersion.

Crystal structure
Lattice parameters (Å, degrees): 7.0211 7.0211 7.1349 92.35 92.35 117.51
Fractional positions:
Cs (0.0000, 0.0000, 0.0000)
Cs (0.3141, 0.3141, 0.6285)
Cs (0.4165, 0.9062, 0.3197)
Cs (0.9062, 0.4165, 0.3197)
Rb (0.4518, 0.8792, 0.8175)
Rb (0.8792, 0.4518, 0.8175)
Co (0.4672, 0.4672, 0.1101)
Co (0.8558, 0.8558, 0.4929)
O (0.0866, 0.8297, 0.6116)
O (0.2413, 0.5132, 0.0391)
O (0.5132, 0.2413, 0.0391)
O (0.6948, 0.6948, 0.2797)
O (0.8297, 0.0866, 0.6116)

Top 10 peaks for 2θ from 5° to 70°, in order of rising 2θ:
- 2θ 26.67, intensity 19.7
- 2θ 28.05, intensity 30.0
- 2θ 28.76, intensity 100.0
- 2θ 29.19, intensity 94.9
- 2θ 29.77, intensity 51.0
- 2θ 32.22, intensity 23.8
- 2θ 33.86, intensity 20.5
- 2θ 36.73, intensity 43.6
- 2θ 40.39, intensity 20.4
- 2θ 47.99, intensity 19.4